(1)
This entry pairs a crystal structure of InH3O3 with its computed X-ray powder pattern. Radiation: Cu Kα (λ = 1.5418 Å). Structure: a DFT-relaxed cell (GGA-PBE, the Materials Project).

Structural model:
a b c (Å): 6.9645 6.9981 7.0055
angles (deg): 108.72 112.39 106.87
Space group P1 (No. 1)
Inequivalent atoms, fractional coordinates:
1 In 0.0000 0.0000 0.0000 (multiplicity 1)
2 In 0.0137 0.4966 0.4770 (multiplicity 1)
3 In 0.4924 0.9755 0.5124 (multiplicity 1)
4 In 0.5125 0.4818 0.0043 (multiplicity 1)
5 H 0.0419 0.8548 0.3192 (multiplicity 1)
6 H 0.1401 0.6465 0.9601 (multiplicity 1)
7 H 0.1942 0.2275 0.5473 (multiplicity 1)
8 H 0.2235 0.5177 0.1727 (multiplicity 1)
9 H 0.3382 0.0184 0.8762 (multiplicity 1)
10 H 0.4610 0.8007 0.7873 (multiplicity 1)
11 H 0.4882 0.1608 0.1728 (multiplicity 1)
12 H 0.7049 0.9016 0.1251 (multiplicity 1)
13 H 0.7311 0.0874 0.3338 (multiplicity 1)
14 H 0.7981 0.3101 0.9565 (multiplicity 1)
15 H 0.8023 0.8110 0.5212 (multiplicity 1)
16 H 0.8546 0.5142 0.8081 (multiplicity 1)
17 O 0.0124 0.3144 0.1665 (multiplicity 1)
18 O 0.1657 0.9856 0.3319 (multiplicity 1)
19 O 0.2041 0.3586 0.6695 (multiplicity 1)
20 O 0.3343 0.8252 0.6805 (multiplicity 1)
21 O 0.3345 0.6453 0.1661 (multiplicity 1)
22 O 0.3495 0.1426 0.0161 (multiplicity 1)
23 O 0.6638 0.1853 0.3754 (multiplicity 1)
24 O 0.6674 0.3142 0.8256 (multiplicity 1)
25 O 0.6691 0.7915 0.9747 (multiplicity 1)
26 O 0.7969 0.9324 0.6494 (multiplicity 1)
27 O 0.8230 0.6470 0.3344 (multiplicity 1)
28 O 0.9951 0.6416 0.8318 (multiplicity 1)

Largest 12 diffraction maxima, low angle first, 10 to 80 degrees two-theta:
2θ (°)	I_rel	hkl
21.36	100	1 1 -1
21.79	94	-1 1 1
22.88	83	1 -1 1
30.58	32	0 2 0
30.82	30	2 0 -2
31.51	54	2 0 0
31.64	30	0 0 2
31.96	29	2 -2 0
38.39	18	1 1 1
38.64	33	1 -3 1
49.73	19	3 1 -1
51.94	32	3 -1 1

***

(2)
This entry pairs a crystal structure of InHO2 with its computed X-ray powder pattern. Radiation: Cu Kα (λ = 1.5418 Å). Structure: a DFT-relaxed cell (GGA-PBE, the Materials Project).

Structural model:
a b c (Å): 4.5692 5.3617 3.3319
angles (deg): 90.00 90.00 90.00
Space group Pnnm (No. 58)
Inequivalent atoms, fractional coordinates:
1 In 0.0000 0.0000 0.0000 (multiplicity 2)
2 H 0.0000 0.5000 0.0000 (multiplicity 2)
3 O 0.2199 0.3705 0.0000 (multiplicity 4)

Largest 12 diffraction maxima, low angle first, 10 to 80 degrees two-theta:
2θ (°)	I_rel	hkl
25.61	100	1 1 0
31.62	40	0 1 1
33.28	65	1 0 1
33.42	28	0 2 0
39.44	10	2 0 0
47.89	40	1 2 1
51.40	43	2 1 1
52.64	16	2 2 0
55.16	24	0 0 2
58.61	15	0 3 1
61.74	17	1 1 2
63.50	10	3 1 0

***

(3)
This entry pairs a crystal structure of InHO2 with its computed X-ray powder pattern. Radiation: Cu Kα (λ = 1.5418 Å). Structure: a DFT-relaxed cell (GGA-PBE, the Materials Project).

Structural model:
a b c (Å): 5.3935 5.3935 5.3935
angles (deg): 90.00 90.00 90.00
Space group Pa-3 (No. 205)
Inequivalent atoms, fractional coordinates:
1 In 0.0000 0.0000 0.0000 (multiplicity 4)
2 H 0.0000 0.0000 0.5000 (multiplicity 4)
3 O 0.1300 0.6300 0.8700 (multiplicity 8)

Largest 11 diffraction maxima, low angle first, 10 to 80 degrees two-theta:
2θ (°)	I_rel	hkl
28.67	100	1 1 1
33.22	64	2 0 0
37.28	4	2 1 0
40.99	3	2 1 1
47.69	46	2 2 0
56.60	62	3 1 1
59.36	16	2 2 2
64.66	1	3 1 2
69.74	4	4 0 0
77.08	18	3 3 1
79.47	20	4 2 0